1.
Simulated X-ray diffraction stick pattern
Compound: YN
Radiation: Cu Kα (weighted mean of Kα1 and Kα2)
Structure: DFT lattice parameters and positions (GGA-PBE)

The 10 most intense peaks (15 to 90 degrees two-theta), by angle:
(hkl), 2θ (°), I/Imax
0 0 2, 29.67, 29
1 0 0, 30.16, 99
1 0 2, 42.82, 100
1 1 0, 53.57, 28
1 1 2, 62.44, 22
2 0 0, 62.72, 12
1 0 4, 70.11, 17
2 0 2, 70.90, 21
1 1 4, 86.02, 14
2 1 0, 87.01, 10

```
data_YN
_cell_length_a 3.4211
_cell_length_b 3.4211
_cell_length_c 6.0220
_cell_angle_alpha 90.00
_cell_angle_beta 90.00
_cell_angle_gamma 120.00
_symmetry_space_group_name_H-M 'P 63/m m c'
_symmetry_Int_Tables_number 194
_symmetry_space_group_name_Hall '-P 6c 2c'
loop_
_atom_site_label
_atom_site_fract_x
_atom_site_fract_y
_atom_site_fract_z
_atom_site_occupancy
Y1 0.0000 0.0000 0.0000 1
N1 0.3333 0.6667 0.2500 1
```

=====

2.
Simulated X-ray diffraction stick pattern
Compound: CdPd3O4
Radiation: Cu Kα (weighted mean of Kα1 and Kα2)
Structure: DFT lattice parameters and positions (GGA-PBE)

The 10 most intense peaks (15 to 90 degrees two-theta), by angle:
(hkl), 2θ (°), I/Imax
2 0 0, 30.59, 17
2 1 0, 34.31, 100
2 1 1, 37.70, 82
2 2 2, 54.38, 13
3 2 0, 56.80, 23
3 2 1, 59.15, 42
4 0 0, 63.69, 21
4 2 0, 72.31, 7
4 2 1, 74.39, 20
3 3 2, 76.45, 10

```
data_CdPd3O4
_cell_length_a 5.844
_cell_length_b 5.844
_cell_length_c 5.844
_cell_angle_alpha 90.00
_cell_angle_beta 90.00
_cell_angle_gamma 90.00
_symmetry_space_group_name_H-M 'P m -3 n'
_symmetry_Int_Tables_number 223
_symmetry_space_group_name_Hall '-P 4n 2 3'
loop_
_atom_site_label
_atom_site_fract_x
_atom_site_fract_y
_atom_site_fract_z
_atom_site_occupancy
Cd1 0.000 0.000 0.000 1
Pd1 0.000 0.250 0.500 1
O1 0.250 0.250 0.250 1
```

=====

3.
Simulated X-ray diffraction stick pattern
Compound: Be3Ag4P3BrO12
Radiation: Cu Kα (weighted mean of Kα1 and Kα2)
Structure: DFT lattice parameters and positions (GGA-PBE)

The 10 most intense peaks (15 to 90 degrees two-theta), by angle:
(hkl), 2θ (°), I/Imax
2 1 1, 25.28, 100
2 2 0, 29.27, 9
3 1 0, 32.82, 15
3 2 1, 39.05, 24
3 3 0, 44.54, 71
4 2 2, 51.90, 12
6 0 0, 64.82, 16
5 3 2, 66.82, 11
5 4 1, 70.75, 9
6 3 3, 82.05, 21

```
data_Be3Ag4P3BrO12
_cell_length_a 8.630
_cell_length_b 8.630
_cell_length_c 8.630
_cell_angle_alpha 90.00
_cell_angle_beta 90.00
_cell_angle_gamma 90.00
_symmetry_space_group_name_H-M 'P -4 3 n'
_symmetry_Int_Tables_number 218
_symmetry_space_group_name_Hall 'P -4n 2 3'
loop_
_atom_site_label
_atom_site_fract_x
_atom_site_fract_y
_atom_site_fract_z
_atom_site_occupancy
Be1 0.000 0.250 0.500 1
Ag1 0.172 0.172 0.172 1
P1 0.000 0.500 0.250 1
Br1 0.000 0.000 0.000 1
O1 0.047 0.358 0.650 1
```

=====

4.
Simulated X-ray diffraction stick pattern
Compound: ReTe2Cl12
Radiation: Cu Kα (weighted mean of Kα1 and Kα2)
Structure: DFT lattice parameters and positions (GGA-PBE)

The 10 most intense peaks (15 to 90 degrees two-theta), by angle:
(hkl), 2θ (°), I/Imax
2 -1 3, 16.96, 100
0 2 4, 20.18, 36
0 1 8, 20.94, 21
2 1 4, 25.48, 24
1 1 9, 26.41, 32
0 3 6, 30.46, 95
0 3 12, 39.57, 74
5 -3 8, 44.06, 17
3 3 0, 47.40, 32
3 0 18, 51.76, 18

```
data_ReTe2Cl12
_cell_length_a 11.5082
_cell_length_b 11.5082
_cell_length_c 37.5350
_cell_angle_alpha 90.00
_cell_angle_beta 90.00
_cell_angle_gamma 120.00
_symmetry_space_group_name_H-M 'R -3'
_symmetry_Int_Tables_number 148
_symmetry_space_group_name_Hall '-R 3'
loop_
_atom_site_label
_atom_site_fract_x
_atom_site_fract_y
_atom_site_fract_z
_atom_site_occupancy
Re1 0.0000 0.0000 0.0000 1
Re2 0.0000 0.0000 0.2471 1
Te1 0.0008 0.6430 0.2489 1
Cl1 0.0829 0.2256 0.4551 1
Cl2 0.0952 0.1951 0.7891 1
Cl3 0.0946 0.1956 0.9638 1
Cl4 0.0961 0.8697 0.6230 1
Cl5 0.0961 0.9017 0.2840 1
Cl6 0.1028 0.5498 0.7879 1
```

=====

5.
Simulated X-ray diffraction stick pattern
Compound: Hf10CuSn7
Radiation: Cu Kα (weighted mean of Kα1 and Kα2)
Structure: DFT lattice parameters and positions (GGA-PBE)

The 10 most intense peaks (15 to 90 degrees two-theta), by angle:
(hkl), 2θ (°), I/Imax
3 -1 1, 35.13, 59
3 0 0, 35.86, 84
1 1 2, 37.05, 100
3 1 1, 46.25, 13
4 -2 2, 52.52, 28
3 2 1, 55.59, 13
2 1 3, 57.29, 14
4 1 2, 65.24, 17
6 -1 1, 71.80, 12
3 0 4, 75.20, 20

```
data_Hf10CuSn7
_cell_length_a 8.6737
_cell_length_b 8.6737
_cell_length_c 5.8541
_cell_angle_alpha 90.00
_cell_angle_beta 90.00
_cell_angle_gamma 120.00
_symmetry_space_group_name_H-M 'P -3 1 m'
_symmetry_Int_Tables_number 162
_symmetry_space_group_name_Hall '-P 3 2'
loop_
_atom_site_label
_atom_site_fract_x
_atom_site_fract_y
_atom_site_fract_z
_atom_site_occupancy
Hf1 0.0000 0.2735 0.2612 1
Hf2 0.3333 0.6667 0.0000 1
Hf3 0.3333 0.6667 0.5000 1
Cu1 0.0000 0.0000 0.5000 1
Sn1 0.0000 0.0000 0.0000 1
Sn2 0.0000 0.3850 0.7526 1
```